Entry 1:
Structure and theoretical X-ray diffraction stick pattern of SbH6CN3Cl6 (a GGA-PBE-relaxed structure; λ = 1.5418 Å (Cu Kα)).

Most intense lines, 10° ≤ 2θ ≤ 90°, low angle first:
d = 6.851 Å, I = 51, hkl 0 1 -1; d = 6.717 Å, I = 100, hkl 0 0 2; d = 6.120 Å, I = 32, hkl -1 1 1; d = 5.789 Å, I = 50, hkl 0 1 1; d = 5.700 Å, I = 44, hkl 1 0 -2; d = 5.616 Å, I = 60, hkl 1 -1 1; d = 4.251 Å, I = 17, hkl 1 1 -1; d = 4.189 Å, I = 16, hkl 0 1 -3; d = 3.060 Å, I = 20, hkl -2 2 2; d = 2.731 Å, I = 15, hkl 2 1 -1; d = 2.691 Å, I = 16, hkl 0 0 5; d = 2.478 Å, I = 14, hkl -2 2 4

Unit cell a=7.7097 b=7.8918 c=14.1716 alpha=94.56 beta=104.24 gamma=113.95
Space group P-1 (No. 2)
One atom of each set of equivalent atoms:
Sb 0.0000 0.0000 0.0000 (multiplicity 1)
Sb 0.0000 0.5000 0.5000 (multiplicity 1)
H 0.2462 0.0305 0.7568 (multiplicity 2)
H 0.2725 0.4912 0.2443 (multiplicity 2)
H 0.2869 0.0785 0.6447 (multiplicity 2)
H 0.3315 0.5578 0.0938 (multiplicity 2)
H 0.4353 0.6423 0.3560 (multiplicity 2)
H 0.4648 0.2382 0.9066 (multiplicity 2)
C 0.4932 0.2760 0.7686 (multiplicity 2)
N 0.3292 0.1178 0.7197 (multiplicity 2)
N 0.3985 0.6103 0.2809 (multiplicity 2)
N 0.4511 0.6806 0.1321 (multiplicity 2)
Cl 0.0587 0.2455 0.9047 (multiplicity 2)
Cl 0.0703 0.8163 0.8814 (multiplicity 2)
Cl 0.1090 0.5027 0.6744 (multiplicity 2)
Cl 0.1527 0.2978 0.4642 (multiplicity 2)
Cl 0.3067 0.7764 0.5185 (multiplicity 2)
Cl 0.3472 0.1543 0.0953 (multiplicity 2)

=====

Entry 2:
Structure and theoretical X-ray diffraction stick pattern of NdSBr (a GGA-PBE-relaxed structure; λ = 1.5418 Å (Cu Kα)).

Most intense lines, 10° ≤ 2θ ≤ 90°, low angle first:
d = 4.948 Å, I = 30, hkl 0 1 1; d = 4.303 Å, I = 78, hkl 1 1 -1; d = 3.819 Å, I = 56, hkl 1 1 1; d = 3.447 Å, I = 63, hkl 0 0 2; d = 3.042 Å, I = 100, hkl 2 1 -1; d = 2.969 Å, I = 46, hkl 1 2 -1; d = 2.699 Å, I = 47, hkl 2 1 1; d = 2.474 Å, I = 45, hkl 0 2 2; d = 2.431 Å, I = 34, hkl 1 2 -2; d = 2.187 Å, I = 29, hkl 0 1 3; d = 2.099 Å, I = 30, hkl 1 3 1; d = 2.012 Å, I = 43, hkl 2 1 -3

Unit cell a=7.1029 b=7.1060 c=7.0038 alpha=90.00 beta=100.12 gamma=90.00
Space group P2_1/c (No. 14)
One atom of each set of equivalent atoms:
Nd 0.1813 0.0339 0.2910 (multiplicity 4)
S 0.0493 0.7415 0.5083 (multiplicity 4)
Br 0.4188 0.1204 0.7061 (multiplicity 4)

=====

Entry 3:
Structure and theoretical X-ray diffraction stick pattern of CuNiSb2 (a GGA-PBE-relaxed structure; λ = 1.5418 Å (Cu Kα)).

Most intense lines, 10° ≤ 2θ ≤ 90°, low angle first:
d = 2.920 Å, I = 100, hkl 1 0 1; d = 2.081 Å, I = 58, hkl 0 1 2; d = 2.049 Å, I = 59, hkl 1 1 0; d = 1.677 Å, I = 19, hkl 0 2 1; d = 1.602 Å, I = 4, hkl 1 1 2; d = 1.542 Å, I = 12, hkl 1 0 3; d = 1.460 Å, I = 17, hkl 2 0 2; d = 1.298 Å, I = 16, hkl 2 1 1; d = 1.284 Å, I = 3, hkl 0 0 4; d = 1.232 Å, I = 6, hkl 0 2 3; d = 1.189 Å, I = 17, hkl 1 2 2; d = 1.183 Å, I = 9, hkl 3 0 0

Unit cell a=4.0972 b=4.0972 c=5.1372 alpha=90.00 beta=90.00 gamma=120.00
Space group P-3m1 (No. 164)
One atom of each set of equivalent atoms:
Cu 0.0000 0.0000 0.0000 (multiplicity 1)
Ni 0.0000 0.0000 0.5000 (multiplicity 1)
Sb 0.3333 0.6667 0.7258 (multiplicity 2)

=====

Please write out number 3 again, unchanged.
Structure and theoretical X-ray diffraction stick pattern of CuNiSb2 (a GGA-PBE-relaxed structure; λ = 1.5418 Å (Cu Kα)).

Most intense lines, 10° ≤ 2θ ≤ 90°, low angle first:
d = 2.920 Å, I = 100, hkl 1 0 1; d = 2.081 Å, I = 58, hkl 0 1 2; d = 2.049 Å, I = 59, hkl 1 1 0; d = 1.677 Å, I = 19, hkl 0 2 1; d = 1.602 Å, I = 4, hkl 1 1 2; d = 1.542 Å, I = 12, hkl 1 0 3; d = 1.460 Å, I = 17, hkl 2 0 2; d = 1.298 Å, I = 16, hkl 2 1 1; d = 1.284 Å, I = 3, hkl 0 0 4; d = 1.232 Å, I = 6, hkl 0 2 3; d = 1.189 Å, I = 17, hkl 1 2 2; d = 1.183 Å, I = 9, hkl 3 0 0

Unit cell a=4.0972 b=4.0972 c=5.1372 alpha=90.00 beta=90.00 gamma=120.00
Space group P-3m1 (No. 164)
One atom of each set of equivalent atoms:
Cu 0.0000 0.0000 0.0000 (multiplicity 1)
Ni 0.0000 0.0000 0.5000 (multiplicity 1)
Sb 0.3333 0.6667 0.7258 (multiplicity 2)